Record 1
# CrMo2S4
Calculated X-ray powder pattern, Cu Kα X-rays. Input: a structure optimized by DFT (PBE).
Peak positions follow from Bragg's law for the DFT cell and can differ from measured ones.

Structure:
```
data_CrMo2S4
_chemical_formula_sum 'Cr4 Mo8 S16'
_cell_length_a 6.849
_cell_length_b 6.849
_cell_length_c 12.994
_cell_angle_alpha 111.18
_cell_angle_beta 111.18
_cell_angle_gamma 57.56
_space_group_name_H-M_alt 'P 1'
_space_group_IT_number 1
loop_
_space_group_symop_operation_xyz
'x,y,z'
loop_
_atom_site_label
_atom_site_type_symbol
_atom_site_fract_x
_atom_site_fract_y
_atom_site_fract_z
Cr1 Cr 0.117 0.364 0.248
Cr2 Cr 0.364 0.117 0.748
Cr3 Cr 0.636 0.883 0.252
Cr4 Cr 0.883 0.636 0.752
Mo1 Mo 0.057 0.763 0.008
Mo2 Mo 0.237 0.943 0.492
Mo3 Mo 0.299 0.504 0.506
Mo4 Mo 0.496 0.701 0.994
Mo5 Mo 0.504 0.299 0.006
Mo6 Mo 0.701 0.496 0.494
Mo7 Mo 0.763 0.057 0.508
Mo8 Mo 0.943 0.237 0.992
S1 S 0.103 0.370 0.887
S2 S 0.116 0.853 0.865
S3 S 0.130 0.374 0.605
S4 S 0.147 0.884 0.635
S5 S 0.343 0.585 0.353
S6 S 0.370 0.103 0.387
S7 S 0.374 0.130 0.105
S8 S 0.415 0.657 0.147
S9 S 0.585 0.343 0.853
S10 S 0.626 0.870 0.895
S11 S 0.630 0.897 0.613
S12 S 0.657 0.415 0.647
S13 S 0.853 0.116 0.365
S14 S 0.870 0.626 0.395
S15 S 0.884 0.147 0.135
S16 S 0.897 0.630 0.113
```

Principal peaks in the range 2θ = 10–90°, sorted by position:
- 14.97°, intensity 99
- 16.94°, intensity 39
- 29.81°, intensity 21
- 30.95°, intensity 44
- 34.21°, intensity 100
- 41.73°, intensity 47
- 43.18°, intensity 53
- 44.16°, intensity 23
- 44.39°, intensity 57
- 46.14°, intensity 22
- 53.64°, intensity 24
- 55.76°, intensity 18

Record 2
# CrMo6Se8
Calculated X-ray powder pattern, Cu Kα X-rays. Input: a structure optimized by DFT (PBE).
Peak positions follow from Bragg's law for the DFT cell and can differ from measured ones.

Structure:
```
data_CrMo6Se8
_chemical_formula_sum 'Cr1 Mo6 Se8'
_cell_length_a 6.741
_cell_length_b 6.741
_cell_length_c 6.741
_cell_angle_alpha 91.67
_cell_angle_beta 91.67
_cell_angle_gamma 91.67
_space_group_name_H-M_alt 'P 1'
_space_group_IT_number 1
loop_
_space_group_symop_operation_xyz
'x,y,z'
loop_
_atom_site_label
_atom_site_type_symbol
_atom_site_fract_x
_atom_site_fract_y
_atom_site_fract_z
Cr1 Cr 0.000 0.000 0.000
Mo1 Mo 0.229 0.550 0.420
Mo2 Mo 0.420 0.229 0.550
Mo3 Mo 0.450 0.580 0.771
Mo4 Mo 0.550 0.420 0.229
Mo5 Mo 0.580 0.771 0.450
Mo6 Mo 0.771 0.450 0.580
Se1 Se 0.128 0.365 0.747
Se2 Se 0.222 0.222 0.222
Se3 Se 0.253 0.872 0.635
Se4 Se 0.365 0.747 0.128
Se5 Se 0.635 0.253 0.872
Se6 Se 0.747 0.128 0.365
Se7 Se 0.778 0.778 0.778
Se8 Se 0.872 0.635 0.253
```

Principal peaks in the range 2θ = 10–90°, sorted by position:
- 13.14°, intensity 100
- 30.02°, intensity 25
- 32.06°, intensity 26
- 32.40°, intensity 47
- 39.60°, intensity 72
- 41.27°, intensity 32
- 42.04°, intensity 19
- 42.84°, intensity 27
- 44.49°, intensity 86
- 48.18°, intensity 19
- 50.13°, intensity 33
- 58.00°, intensity 27

Record 3
# CrSiMo
Calculated X-ray powder pattern, Cu Kα X-rays. Input: a structure optimized by DFT (PBE).
Peak positions follow from Bragg's law for the DFT cell and can differ from measured ones.

Structure:
```
data_CrSiMo
_chemical_formula_sum 'Cr4 Si4 Mo4'
_cell_length_a 7.623
_cell_length_b 4.888
_cell_length_c 4.888
_cell_angle_alpha 59.29
_cell_angle_beta 90.00
_cell_angle_gamma 90.00
_space_group_name_H-M_alt 'P 1'
_space_group_IT_number 1
loop_
_space_group_symop_operation_xyz
'x,y,z'
loop_
_atom_site_label
_atom_site_type_symbol
_atom_site_fract_x
_atom_site_fract_y
_atom_site_fract_z
Cr1 Cr 0.000 0.244 0.756
Cr2 Cr 0.000 0.756 0.244
Cr3 Cr 0.247 0.575 0.575
Cr4 Cr 0.753 0.575 0.575
Si1 Si 0.000 0.754 0.754
Si2 Si 0.500 0.411 0.411
Si3 Si 0.500 0.411 0.916
Si4 Si 0.500 0.916 0.411
Mo1 Mo 0.192 0.245 0.245
Mo2 Mo 0.323 0.914 0.914
Mo3 Mo 0.677 0.914 0.914
Mo4 Mo 0.808 0.245 0.245
```

Principal peaks in the range 2θ = 10–90°, sorted by position:
- 36.78°, intensity 91
- 37.19°, intensity 35
- 41.41°, intensity 56
- 41.53°, intensity 89
- 44.02°, intensity 100
- 44.27°, intensity 30
- 44.37°, intensity 61
- 44.74°, intensity 54
- 69.57°, intensity 22
- 71.80°, intensity 22
- 77.33°, intensity 23
- 78.24°, intensity 24

Record 4
# Cr3N4
Calculated X-ray powder pattern, Cu Kα X-rays. Input: a structure optimized by DFT (PBE).
Peak positions follow from Bragg's law for the DFT cell and can differ from measured ones.

Structure:
```
data_Cr3N4
_chemical_formula_sum 'Cr3 N4'
_cell_length_a 3.963
_cell_length_b 3.963
_cell_length_c 3.963
_cell_angle_alpha 90.00
_cell_angle_beta 90.00
_cell_angle_gamma 90.00
_space_group_name_H-M_alt 'P 1'
_space_group_IT_number 1
loop_
_space_group_symop_operation_xyz
'x,y,z'
loop_
_atom_site_label
_atom_site_type_symbol
_atom_site_fract_x
_atom_site_fract_y
_atom_site_fract_z
Cr1 Cr 0.000 0.000 0.500
Cr2 Cr 0.000 0.500 0.000
Cr3 Cr 0.500 0.000 0.000
N1 N 0.000 0.000 0.000
N2 N 0.000 0.500 0.500
N3 N 0.500 0.000 0.500
N4 N 0.500 0.500 0.000
```

Principal peaks in the range 2θ = 10–90°, sorted by position:
- 22.43°, intensity 49
- 31.93°, intensity 39
- 39.38°, intensity 57
- 45.79°, intensity 100
- 51.56°, intensity 18
- 56.91°, intensity 13
- 66.75°, intensity 53
- 71.40°, intensity 7
- 75.92°, intensity 5
- 80.35°, intensity 21
- 84.72°, intensity 17
- 89.06°, intensity 3